# 1
For HoAgSn, a structure optimized by DFT (PBE) gives the simulated PXRD pattern in this record (a wavelength of 1.5418 Å).
Neutral-atom scattering factors, no anomalous dispersion.

```
HoAgSn
1.0
4.830 0.000 0.000
-2.415 4.183 0.000
0.000 0.000 7.417
Ho Ag Sn
2 2 2
Direct
0.000 0.000 0.227
0.000 0.000 0.773
0.333 0.667 0.972
0.667 0.333 0.028
0.333 0.667 0.560
0.667 0.333 0.440
```

Main lines, in order of rising 2θ (5 to 70 degrees two-theta):
- 24.43 deg, I 113, hkl 1 0 1
- 32.26 deg, I 1000, hkl 1 0 2
- 37.23 deg, I 818, hkl 1 1 0
- 42.47 deg, I 209, hkl 0 1 3
- 50.07 deg, I 292, hkl 0 2 2
- 57.74 deg, I 84, hkl 2 0 3
- 63.22 deg, I 113, hkl 1 1 4
- 64.02 deg, I 279, hkl 2 1 2
- 66.93 deg, I 61, hkl 1 0 5
- 67.13 deg, I 145, hkl 3 0 0

---

# 2
For HoAgSn, a structure optimized by DFT (PBE) gives the simulated PXRD pattern in this record (a wavelength of 1.5418 Å).
Neutral-atom scattering factors, no anomalous dispersion.

```
HoAgSn
1.0
4.733 0.000 0.000
-2.367 4.099 0.000
0.000 0.000 7.388
Ho Ag Sn
2 2 2
Direct
0.000 0.000 0.000
0.000 0.000 0.500
0.333 0.667 0.314
0.667 0.333 0.814
0.333 0.667 0.721
0.667 0.333 0.221
```

Main lines, in order of rising 2θ (5 to 70 degrees two-theta):
- 24.84 deg, I 105, hkl 1 0 1
- 32.63 deg, I 1000, hkl 1 0 2
- 38.02 deg, I 778, hkl 1 1 0
- 42.84 deg, I 174, hkl 1 0 3
- 50.96 deg, I 286, hkl 2 0 2
- 58.60 deg, I 68, hkl 2 0 3
- 63.94 deg, I 136, hkl 1 1 4
- 65.31 deg, I 271, hkl 2 1 2
- 67.37 deg, I 74, hkl 1 0 5
- 68.70 deg, I 137, hkl 3 0 0

---

# 3
For HoAgTe2, a structure optimized by DFT (PBE) gives the simulated PXRD pattern in this record (a wavelength of 1.5418 Å).
Neutral-atom scattering factors, no anomalous dispersion.

```
HoAgTe2
1.0
4.505 0.000 0.000
-2.253 3.902 0.000
0.000 0.000 7.317
Ho Ag Te
1 1 2
Direct
0.000 0.000 0.000
0.333 0.667 0.398
0.333 0.667 0.780
0.667 0.333 0.245
```

Main lines, in order of rising 2θ (5 to 70 degrees two-theta):
- 12.10 deg, I 210, hkl 0 0 1
- 25.88 deg, I 1000, hkl 1 0 1
- 33.58 deg, I 739, hkl 1 0 2
- 40.02 deg, I 643, hkl 1 1 0
- 43.77 deg, I 433, hkl 0 1 3
- 48.28 deg, I 183, hkl 0 2 1
- 53.21 deg, I 198, hkl 0 2 2
- 60.80 deg, I 161, hkl 2 0 3
- 64.45 deg, I 152, hkl 2 1 1
- 68.61 deg, I 183, hkl 2 1 2

---

# 4
For HoAgTe2, a structure optimized by DFT (PBE) gives the simulated PXRD pattern in this record (a wavelength of 1.5418 Å).
Neutral-atom scattering factors, no anomalous dispersion.

```
HoAgTe2
1.0
7.098 0.000 0.000
0.000 7.098 0.000
0.000 0.000 4.722
Ho Ag Te
2 2 4
Direct
0.000 0.500 0.191
0.500 0.000 0.809
0.000 0.000 0.000
0.500 0.500 0.000
0.202 0.298 0.709
0.298 0.798 0.291
0.702 0.202 0.291
0.798 0.702 0.709
```

Main lines, in order of rising 2θ (5 to 70 degrees two-theta):
- 25.91 deg, I 1000, hkl 1 1 1
- 28.11 deg, I 289, hkl 2 1 0
- 31.54 deg, I 583, hkl 2 0 1
- 34.03 deg, I 869, hkl 2 1 1
- 35.78 deg, I 815, hkl 2 2 0
- 42.31 deg, I 395, hkl 1 1 2
- 42.75 deg, I 590, hkl 3 0 1
- 44.70 deg, I 186, hkl 3 1 1
- 51.50 deg, I 190, hkl 4 0 0
- 53.23 deg, I 199, hkl 4 1 0

---

> Number 4 is which compound?

HoAgTe2